This entry pairs a crystal structure of Pm3DySb2C with its computed powder diffractogram. Radiation: Cu Ka. Structure: a DFT-relaxed cell (GGA-PBE, Alexandria).
Peak positions follow from Bragg's law for the DFT cell and can differ from measured ones.

Top 6 peaks for 2θ = 5–70°, by angle:
2θ 28.2, intensity 72, hkl 1 1 2; 2θ 33.1, intensity 33, hkl 0 0 6; 2θ 34.2, intensity 100, hkl 1 1 4; 2θ 36.5, intensity 30, hkl 0 2 0; 2θ 37.4, intensity 29, hkl 2 0 0; 2θ 64.2, intensity 33, hkl 2 2 6

Atomic structure:
Cell: 4.815 4.921 16.241 Å, 90.00 90.00 90.00°
Space group Immm (No. 71)
One atom of each set of equivalent atoms:
Pm1 0.000 0.000 0.000
Pm2 0.000 0.500 0.160
Dy1 0.000 0.000 0.500
Sb1 0.000 0.500 0.360
C1 0.000 0.500 0.000



This entry pairs a crystal structure of PmBiTe2O8 with its computed powder diffractogram. Radiation: Cu Ka. Structure: a DFT-relaxed cell (GGA-PBE, Alexandria).
Peak positions follow from Bragg's law for the DFT cell and can differ from measured ones.

Top 6 peaks for 2θ = 5–70°, by angle:
2θ 23.5, intensity 100, hkl 2 0 0; 2θ 30.6, intensity 84, hkl 1 1 2; 2θ 33.5, intensity 27, hkl 2 2 0; 2θ 46.0, intensity 68, hkl 3 1 2; 2θ 54.3, intensity 17, hkl 4 2 0; 2θ 58.1, intensity 36, hkl 3 3 2

Atomic structure:
Cell: 7.559 7.559 6.993 Å, 90.00 90.00 90.00°
Space group I-4m2 (No. 119)
One atom of each set of equivalent atoms:
Pm1 0.000 0.000 0.000
Bi1 0.000 0.500 0.250
Te1 0.000 0.000 0.500
Te2 0.000 0.500 0.750
O1 0.000 0.185 0.298
O2 0.000 0.315 0.934



This entry pairs a crystal structure of InGaPb2Se5 with its computed powder diffractogram. Radiation: Cu Ka. Structure: a DFT-relaxed cell (GGA-PBE, Alexandria).
Peak positions follow from Bragg's law for the DFT cell and can differ from measured ones.

Top 6 peaks for 2θ = 5–70°, by angle:
2θ 22.5, intensity 38, hkl 0 2 3; 2θ 29.8, intensity 61, hkl 0 6 1; 2θ 30.6, intensity 100, hkl 1 1 3; 2θ 35.6, intensity 23, hkl 0 2 5; 2θ 35.7, intensity 31, hkl 1 5 2; 2θ 45.0, intensity 24, hkl 2 0 0

Atomic structure:
Cell: 4.027 18.473 13.119 Å, 90.00 90.00 90.00°
Space group Cmc2_1 (No. 36)
One atom of each set of equivalent atoms:
In1 0.000 0.202 0.000
Ga1 0.000 0.445 0.401
Pb1 0.000 0.124 0.295
Pb2 0.000 0.129 0.645
Se1 0.000 0.043 0.011
Se2 0.000 0.291 0.646
Se3 0.000 0.316 0.352
Se4 0.000 0.351 0.984
Se5 0.000 0.489 0.745



This entry pairs a crystal structure of La2TlRhO6 with its computed powder diffractogram. Radiation: Cu Ka. Structure: a DFT-relaxed cell (GGA-PBE, Alexandria).
Peak positions follow from Bragg's law for the DFT cell and can differ from measured ones.

Top 6 peaks for 2θ = 5–70°, by angle:
2θ 29.4, intensity 42, hkl 0 2 0; 2θ 30.4, intensity 100, hkl 1 1 1; 2θ 30.8, intensity 97, hkl 1 1 -3; 2θ 31.4, intensity 56, hkl 2 0 -2; 2θ 43.5, intensity 36, hkl 2 2 -2; 2θ 44.1, intensity 24, hkl 0 0 4

Atomic structure:
Cell: 5.699 6.078 9.914 Å, 90.00 124.10 90.00°
Space group P2_1/c (No. 14)
One atom of each set of equivalent atoms:
La1 0.228 0.068 0.251
Tl1 0.500 0.000 0.000
Rh1 0.000 0.000 0.500
O1 0.104 0.210 0.932
O2 0.241 0.683 0.941
O3 0.358 0.051 0.734



This entry pairs a crystal structure of Ac3Nd3In2Au with its computed powder diffractogram. Radiation: Cu Ka. Structure: a DFT-relaxed cell (GGA-PBE, Alexandria).
Peak positions follow from Bragg's law for the DFT cell and can differ from measured ones.

Top 6 peaks for 2θ = 5–70°, by angle:
2θ 29.3, intensity 100, hkl 1 1 1; 2θ 31.4, intensity 51, hkl 2 0 1; 2θ 33.3, intensity 35, hkl 3 0 0; 2θ 37.0, intensity 30, hkl 2 1 1; 2θ 54.5, intensity 31, hkl 3 2 1; 2θ 57.2, intensity 15, hkl 3 0 2

Atomic structure:
Cell: 9.3258 9.3258 4.0232 Å, 90.00 90.00 120.00°
Space group P-62m (No. 189)
One atom of each set of equivalent atoms:
Ac1 0.0000 0.7394 0.0000
Nd1 0.0000 0.4013 0.5000
In1 0.3333 0.6667 0.0000
Au1 0.0000 0.0000 0.5000



This entry pairs a crystal structure of Th3Co2Si3 with its computed powder diffractogram. Radiation: Cu Ka. Structure: a DFT-relaxed cell (GGA-PBE, Alexandria).
Peak positions follow from Bragg's law for the DFT cell and can differ from measured ones.

Top 6 peaks for 2θ = 5–70°, by angle:
2θ 24.2, intensity 79, hkl 0 2 3; 2θ 26.4, intensity 48, hkl 1 1 2; 2θ 33.4, intensity 55, hkl 1 3 0; 2θ 33.7, intensity 100, hkl 1 1 4; 2θ 35.8, intensity 36, hkl 0 0 6; 2θ 45.1, intensity 40, hkl 2 0 0

Atomic structure:
Cell: 4.025 10.812 15.030 Å, 90.00 90.00 90.00°
Space group Cmcm (No. 63)
One atom of each set of equivalent atoms:
Th1 0.000 0.072 0.250
Th2 0.000 0.354 0.093
Co1 0.000 0.359 0.623
Si1 0.000 0.079 0.054
Si2 0.000 0.216 0.750



This entry pairs a crystal structure of Ac5Hg3 with its computed powder diffractogram. Radiation: Cu Ka. Structure: a DFT-relaxed cell (GGA-PBE, Alexandria).
Peak positions follow from Bragg's law for the DFT cell and can differ from measured ones.

Top 6 peaks for 2θ = 5–70°, by angle:
2θ 29.9, intensity 100, hkl 1 0 4; 2θ 31.2, intensity 51, hkl 1 1 0; 2θ 44.7, intensity 19, hkl 2 0 0; 2θ 52.2, intensity 15, hkl 1 1 8; 2θ 54.7, intensity 38, hkl 2 1 4; 2θ 62.1, intensity 9, hkl 2 0 8

Atomic structure:
Cell: 4.055 4.055 17.713 Å, 90.00 90.00 90.00°
Space group P4/mmm (No. 123)
One atom of each set of equivalent atoms:
Ac1 0.000 0.000 0.000
Ac2 0.000 0.000 0.227
Ac3 0.500 0.500 0.387
Hg1 0.000 0.000 0.500
Hg2 0.500 0.500 0.117



This entry pairs a crystal structure of Pm4Si3Rh with its computed powder diffractogram. Radiation: Cu Ka. Structure: a DFT-relaxed cell (GGA-PBE, Alexandria).
Peak positions follow from Bragg's law for the DFT cell and can differ from measured ones.

Top 6 peaks for 2θ = 5–70°, by angle:
2θ 27.8, intensity 43, hkl 1 0 2; 2θ 31.6, intensity 100, hkl 1 1 1; 2θ 32.0, intensity 53, hkl 0 1 3; 2θ 32.7, intensity 27, hkl 0 0 4; 2θ 39.4, intensity 39, hkl 1 1 3; 2θ 41.5, intensity 24, hkl 0 2 0

Atomic structure:
Cell: 3.953 4.353 10.970 Å, 90.00 90.00 90.00°
Space group Pmm2 (No. 25)
One atom of each set of equivalent atoms:
Pm1 0.000 0.000 0.000
Pm2 0.000 0.500 0.493
Pm3 0.500 0.000 0.278
Pm4 0.500 0.500 0.780
Si1 0.000 0.000 0.704
Si2 0.000 0.500 0.206
Si3 0.500 0.000 0.565
Rh1 0.500 0.500 0.065